Record 1
# Nd6Fe13Sb
Computed XRD peak list, CuKα. Input: the GGA-PBE geometry in the Materials Project.

Largest 6 diffraction maxima, by angle, 10 to 90 degrees two-theta:
d 3.276, 2θ = 27.22°, I = 73.8; d 2.857, 2θ = 31.30°, I = 100.0; d 2.551, 2θ = 35.18°, I = 84.7; d 2.371, 2θ = 37.95°, I = 55.4; d 2.112, 2θ = 42.82°, I = 44.2; d 1.950, 2θ = 46.56°, I = 41.7

abc: 13.0364 13.0364 13.0364
angles: 143.95 143.95 51.90
Positions (direct):
Nd1 0.0226 0.5226 0.1749
Nd2 0.1041 0.1041 0.0000
Nd3 0.1523 0.9774 0.5000
Nd4 0.3477 0.8477 0.8251
Nd5 0.3959 0.3959 0.0000
Nd6 0.4774 0.6523 0.5000
Nd7 0.5226 0.3477 0.5000
Nd8 0.6041 0.6041 0.0000
Nd9 0.6523 0.1523 0.1749
Nd10 0.8477 0.0226 0.5000
Nd11 0.8959 0.8959 0.0000
Nd12 0.9774 0.4774 0.8251
Fe1 0.0000 0.5000 0.5000
Fe2 0.0203 0.2928 0.5000
Fe3 0.0667 0.2096 0.2763
Fe4 0.1200 0.6200 0.8571
Fe5 0.2072 0.4797 0.5000
Fe6 0.2096 0.9333 0.1429
Fe7 0.2371 0.7371 0.8571
Fe8 0.2629 0.1200 0.5000
Fe9 0.2904 0.4333 0.7237
Fe10 0.2928 0.7928 0.2725
Fe11 0.3800 0.2371 0.5000
Fe12 0.4333 0.7096 0.1429
Fe13 0.4797 0.9797 0.2725
Fe14 0.5000 0.0000 0.5000
Fe15 0.5203 0.0203 0.7275
Fe16 0.5667 0.2904 0.8571
Fe17 0.6200 0.7629 0.5000
Fe18 0.7072 0.2072 0.7275
Fe19 0.7096 0.5667 0.2763
Fe20 0.7371 0.8800 0.5000
Fe21 0.7629 0.2629 0.1429
Fe22 0.7904 0.0667 0.8571
Fe23 0.7928 0.5203 0.5000
Fe24 0.8800 0.3800 0.1429
Fe25 0.9333 0.7904 0.7237
Fe26 0.9797 0.7072 0.5000
Sb1 0.2500 0.2500 0.0000
Sb2 0.7500 0.7500 0.0000

Record 2
# UO2
Computed XRD peak list, CuKα. Input: the GGA-PBE geometry in the Materials Project.

Largest 6 diffraction maxima, by angle, 10 to 90 degrees two-theta:
d 3.129, 2θ = 28.52°, I = 100.0; d 2.710, 2θ = 33.05°, I = 37.3; d 1.916, 2θ = 47.44°, I = 49.2; d 1.634, 2θ = 56.29°, I = 47.2; d 1.244, 2θ = 76.63°, I = 20.2; d 1.106, 2θ = 88.34°, I = 17.8

abc: 5.4203 5.4203 5.4203
angles: 90.00 90.00 90.00
Positions (direct):
U1 0.0000 0.0000 0.0000
U2 0.0000 0.5000 0.5000
U3 0.5000 0.0000 0.5000
U4 0.5000 0.5000 0.0000
O1 0.2500 0.2500 0.2500
O2 0.2500 0.2500 0.7500
O3 0.2500 0.7500 0.2500
O4 0.2500 0.7500 0.7500
O5 0.7500 0.2500 0.2500
O6 0.7500 0.2500 0.7500
O7 0.7500 0.7500 0.2500
O8 0.7500 0.7500 0.7500

Record 3
# NdAlGa
Computed XRD peak list, CuKα. Input: the GGA-PBE geometry in the Materials Project.

Largest 6 diffraction maxima, by angle, 10 to 90 degrees two-theta:
d 3.774, 2θ = 23.57°, I = 27.8; d 2.815, 2θ = 31.78°, I = 100.0; d 2.179, 2θ = 41.44°, I = 36.6; d 1.723, 2θ = 53.15°, I = 23.2; d 1.517, 2θ = 61.08°, I = 22.9; d 1.352, 2θ = 69.55°, I = 20.5

abc: 4.3581 4.3581 4.2271
angles: 90.00 90.00 120.00
Positions (direct):
Nd1 0.0000 0.0000 0.0000
Al1 0.3333 0.6667 0.5000
Ga1 0.6667 0.3333 0.5000

Record 4
# Cr2CuS4
Computed XRD peak list, CuKα. Input: the GGA-PBE geometry in the Materials Project.

Largest 6 diffraction maxima, by angle, 10 to 90 degrees two-theta:
d 6.018, 2θ = 14.72°, I = 34.1; d 4.181, 2θ = 21.25°, I = 42.2; d 2.649, 2θ = 33.83°, I = 39.8; d 2.376, 2θ = 37.86°, I = 70.0; d 2.107, 2θ = 42.93°, I = 100.0; d 1.702, 2θ = 53.87°, I = 40.4

abc: 6.8245 12.0367 5.8902
angles: 90.00 90.00 90.00
Positions (direct):
Cr1 0.0000 0.0000 0.0000
Cr2 0.0000 0.5000 0.0000
Cr3 0.2500 0.0061 0.4874
Cr4 0.2500 0.4939 0.4874
Cr5 0.5000 0.0000 0.0000
Cr6 0.5000 0.5000 0.0000
Cr7 0.7500 0.5061 0.5126
Cr8 0.7500 0.9939 0.5126
Cu1 0.2500 0.2500 0.8565
Cu2 0.2500 0.7500 0.5372
Cu3 0.7500 0.2500 0.4628
Cu4 0.7500 0.7500 0.1435
S1 0.0033 0.1142 0.6651
S2 0.0033 0.3858 0.6651
S3 0.2500 0.1125 0.1500
S4 0.2500 0.3875 0.1500
S5 0.2500 0.6068 0.8209
S6 0.2500 0.8932 0.8209
S7 0.4967 0.1142 0.6651
S8 0.4967 0.3858 0.6651
S9 0.5033 0.6142 0.3349
S10 0.5033 0.8858 0.3349
S11 0.7500 0.1068 0.1791
S12 0.7500 0.3932 0.1791
S13 0.7500 0.6125 0.8500
S14 0.7500 0.8875 0.8500
S15 0.9967 0.6142 0.3349
S16 0.9967 0.8858 0.3349

Record 5
# ZrCdO3
Computed XRD peak list, CuKα. Input: the GGA-PBE geometry in the Materials Project.

Largest 6 diffraction maxima, by angle, 10 to 90 degrees two-theta:
d 2.941, 2θ = 30.39°, I = 100.0; d 2.080, 2θ = 43.52°, I = 32.6; d 1.698, 2θ = 54.00°, I = 39.0; d 1.471, 2θ = 63.23°, I = 19.4; d 1.315, 2θ = 71.76°, I = 16.4; d 1.112, 2θ = 87.81°, I = 19.9

abc: 4.1595 4.1595 4.1595
angles: 90.00 90.00 90.00
Positions (direct):
Zr1 0.0000 0.0000 0.0000
Cd1 0.5000 0.5000 0.5000
O1 0.0000 0.0000 0.5000
O2 0.0000 0.5000 0.0000
O3 0.5000 0.0000 0.0000

Record 6
# TiSiAg2O5
Computed XRD peak list, CuKα. Input: the GGA-PBE geometry in the Materials Project.

Largest 6 diffraction maxima, by angle, 10 to 90 degrees two-theta:
d 5.528, 2θ = 16.03°, I = 17.7; d 2.820, 2θ = 31.72°, I = 100.0; d 2.319, 2θ = 38.83°, I = 21.4; d 2.138, 2θ = 42.26°, I = 15.9; d 1.776, 2θ = 51.44°, I = 24.6; d 1.418, 2θ = 65.89°, I = 20.8

abc: 6.5591 6.5591 5.5276
angles: 90.00 90.00 90.00
Positions (direct):
Ti1 0.2500 0.2500 0.0631
Ti2 0.7500 0.7500 0.9369
Si1 0.2500 0.7500 0.0000
Si2 0.7500 0.2500 0.0000
Ag1 0.0000 0.0000 0.5000
Ag2 0.0000 0.5000 0.5000
Ag3 0.5000 0.0000 0.5000
Ag4 0.5000 0.5000 0.5000
O1 0.0425 0.7500 0.8317
O2 0.2500 0.2500 0.7534
O3 0.2500 0.5425 0.1683
O4 0.2500 0.9575 0.1683
O5 0.4575 0.7500 0.8317
O6 0.5425 0.2500 0.1683
O7 0.7500 0.0425 0.8317
O8 0.7500 0.4575 0.8317
O9 0.7500 0.7500 0.2466
O10 0.9575 0.2500 0.1683